Rb3TiF7: calculated PXRD pattern (λ = 1.5418 Å (Cu Kα)), based on a structure optimized by DFT (PBE).
Neutral-atom scattering factors, no anomalous dispersion.

Cell and atoms:
```
data_Rb3TiF7
_chemical_formula_sum 'Rb6 Ti2 F14'
_space_group_name_H-M_alt 'P 4/m b m'
_space_group_IT_number 127
_space_group_name_Hall '-P 4 2ab'
_cell_length_a 8.2941
_cell_length_b 8.2941
_cell_length_c 6.0451
_cell_angle_alpha 90.00
_cell_angle_beta 90.00
_cell_angle_gamma 90.00
loop_
_atom_site_label
_atom_site_fract_x
_atom_site_fract_y
_atom_site_fract_z
_atom_site_occupancy
Rb1 0.0000 0.0000 0.0000 1
Rb2 0.1929 0.3071 0.5000 1
Ti1 0.0000 0.5000 0.0000 1
F1 0.0000 0.0000 0.5000 1
F2 0.1121 0.6121 0.2252 1
F3 0.1613 0.3387 0.0000 1
```

Main lines, in order of falling intensity (10 to 90 degrees two-theta):
d/Å	2theta	I_rel
3.420	26.06	100
2.343	38.42	45
2.932	30.48	44
2.105	42.97	32
3.023	29.55	29
2.623	34.19	25
3.162	28.23	22
2.012	45.07	17
3.709	23.99	17
1.812	50.35	15

***

RbTlF4: calculated PXRD pattern (λ = 1.5418 Å (Cu Kα)), based on a structure optimized by DFT (PBE).
Neutral-atom scattering factors, no anomalous dispersion.

Cell and atoms:
```
data_RbTlF4
_chemical_formula_sum 'Rb4 Tl4 F16'
_space_group_name_H-M_alt 'P c a 21'
_space_group_IT_number 29
_cell_length_a 8.4512
_cell_length_b 6.3389
_cell_length_c 8.6267
_cell_angle_alpha 90.00
_cell_angle_beta 90.00
_cell_angle_gamma 90.00
loop_
_space_group_symop_operation_xyz
'x,y,z'
'-x,-y,z+1/2'
'-x+1/2,y,z+1/2'
'x+1/2,-y,z'
loop_
_atom_site_label
_atom_site_fract_x
_atom_site_fract_y
_atom_site_fract_z
_atom_site_occupancy
Rb1 0.1938 0.0079 0.0000 1
Tl1 0.0068 0.4998 0.7523 1
F1 0.0175 0.6085 0.0029 1
F2 0.0638 0.8029 0.3196 1
F3 0.0869 0.8023 0.6910 1
F4 0.2427 0.3614 0.2432 1
```

Main lines, in order of falling intensity (10 to 90 degrees two-theta):
d/Å	2theta	I_rel
3.566	24.97	100
3.516	25.33	86
3.018	29.59	50
2.186	41.30	45
6.339	13.97	41
3.169	28.15	32
1.838	49.59	30
1.897	47.94	28
4.226	21.02	24
1.403	66.67	22

***

Rb3TlF6: calculated PXRD pattern (λ = 1.5418 Å (Cu Kα)), based on a structure optimized by DFT (PBE).
Neutral-atom scattering factors, no anomalous dispersion.

Cell and atoms:
```
data_Rb3TlF6
_chemical_formula_sum 'Rb12 Tl4 F24'
_space_group_name_H-M_alt 'F m -3 m'
_space_group_IT_number 225
_space_group_name_Hall '-F 4 2 3'
_cell_length_a 9.6913
_cell_length_b 9.6913
_cell_length_c 9.6913
_cell_angle_alpha 90.00
_cell_angle_beta 90.00
_cell_angle_gamma 90.00
loop_
_atom_site_label
_atom_site_fract_x
_atom_site_fract_y
_atom_site_fract_z
_atom_site_occupancy
Rb1 0.0000 0.0000 0.0000 1
Rb2 0.2500 0.2500 0.2500 1
Tl1 0.0000 0.0000 0.5000 1
F1 0.0000 0.0000 0.2735 1
```

Main lines, in order of falling intensity (10 to 90 degrees two-theta):
d/Å	2theta	I_rel
3.426	26.01	100
1.978	45.87	42
2.423	37.11	36
1.713	53.49	23
1.295	73.06	23
1.532	60.41	21
5.595	15.84	20
4.846	18.31	15
1.142	84.91	12
2.922	30.59	8

***

Rb3TlF6: calculated PXRD pattern (λ = 1.5418 Å (Cu Kα)), based on a structure optimized by DFT (PBE).
Neutral-atom scattering factors, no anomalous dispersion.

Cell and atoms:
```
data_Rb3TlF6
_chemical_formula_sum 'Rb6 Tl2 F12'
_space_group_name_H-M_alt 'I 4/m m m'
_space_group_IT_number 139
_space_group_name_Hall '-I 4 2'
_cell_length_a 7.0001
_cell_length_b 7.0001
_cell_length_c 9.8069
_cell_angle_alpha 90.00
_cell_angle_beta 90.00
_cell_angle_gamma 90.00
loop_
_atom_site_label
_atom_site_fract_x
_atom_site_fract_y
_atom_site_fract_z
_atom_site_occupancy
Rb1 0.0000 0.0000 0.0000 1
Rb2 0.0000 0.5000 0.2500 1
Tl1 0.0000 0.0000 0.5000 1
F1 0.0000 0.0000 0.2678 1
F2 0.0000 0.3099 0.5000 1
```

Main lines, in order of falling intensity (10 to 90 degrees two-theta):
d/Å	2theta	I_rel
3.484	25.57	100
3.500	25.45	88
2.018	44.93	57
5.698	15.55	42
2.008	45.15	36
1.564	59.04	29
2.475	36.30	26
2.452	36.65	21
1.742	52.54	18
1.319	71.51	16